Entry 1:
Computed powder diffraction line list of LiCe4N4 for Cu Ka, from DFT lattice parameters and positions (GGA-PBE).
Peak positions follow from Bragg's law for the DFT cell and can differ from measured ones.

Structure:
Cell lengths 5.582, 5.582, 10.635 Å; angles 90.00, 90.00, 90.00 degrees
Space group I-42m (No. 121)
One atom of each set of equivalent atoms:
Li (0.000, 0.000, 0.000) (multiplicity 2)
Ce (0.000, 0.000, 0.270) (multiplicity 4)
Ce (0.000, 0.500, 0.000) (multiplicity 4)
N (0.215, 0.215, 0.122) (multiplicity 8)

Principal peaks in the range 2θ from 10° to 90°, by angle:
28.15°, d = 3.170 Å, I 100.0, (1 1 2)
32.07°, d = 2.791 Å, I 31.2, (2 0 0)
33.71°, d = 2.659 Å, I 11.7, (0 0 4)
45.98°, d = 1.974 Å, I 15.8, (2 2 0)
47.21°, d = 1.925 Å, I 26.5, (2 0 4)
54.79°, d = 1.675 Å, I 30.9, (3 1 2)
56.94°, d = 1.617 Å, I 12.8, (1 1 6)
58.22°, d = 1.585 Å, I 10.6, (2 2 4)
74.25°, d = 1.277 Å, I 6.2, (3 3 2)
76.09°, d = 1.251 Å, I 10.2, (3 1 6)
76.28°, d = 1.248 Å, I 5.7, (4 2 0)
86.04°, d = 1.130 Å, I 8.8, (4 2 4)

Entry 2:
Computed powder diffraction line list of NaSn for Cu Ka, from DFT lattice parameters and positions (GGA-PBE).
Peak positions follow from Bragg's law for the DFT cell and can differ from measured ones.

Structure:
Cell lengths 5.579, 3.271, 5.858 Å; angles 90.00, 90.00, 90.00 degrees
Space group Pmma (No. 51)
One atom of each set of equivalent atoms:
Na (0.250, 0.000, 0.146) (multiplicity 2)
Sn (0.250, 0.500, 0.630) (multiplicity 2)

Principal peaks in the range 2θ from 10° to 90°, by angle:
15.12°, d = 5.858 Å, I 74.9, (0 0 1)
22.00°, d = 4.040 Å, I 65.8, (1 0 1)
27.26°, d = 3.271 Å, I 38.6, (0 1 0)
31.32°, d = 2.856 Å, I 56.0, (0 1 1)
32.09°, d = 2.789 Å, I 58.6, (2 0 0)
34.59°, d = 2.593 Å, I 94.6, (1 0 2)
35.30°, d = 2.542 Å, I 100.0, (1 1 1)
42.59°, d = 2.123 Å, I 24.4, (2 1 0)
44.59°, d = 2.032 Å, I 43.5, (1 1 2)
45.45°, d = 1.996 Å, I 40.5, (2 1 1)
59.30°, d = 1.558 Å, I 22.5, (3 1 1)
67.73°, d = 1.383 Å, I 27.3, (1 2 2)

Entry 3:
Computed powder diffraction line list of NdSmHoTl for Cu Ka, from DFT lattice parameters and positions (GGA-PBE).
Peak positions follow from Bragg's law for the DFT cell and can differ from measured ones.

Structure:
Cell lengths 4.875, 4.901, 4.996 Å; angles 90.00, 90.00, 90.00 degrees
Space group Pmmm (No. 47)
One atom of each set of equivalent atoms:
Nd (0.000, 0.000, 0.000) (multiplicity 1)
Sm (0.500, 0.500, 0.000) (multiplicity 1)
Ho (0.500, 0.000, 0.500) (multiplicity 1)
Tl (0.000, 0.500, 0.500) (multiplicity 1)

Principal peaks in the range 2θ from 10° to 90°, by angle:
31.47°, d = 2.842 Å, I 100.0, (1 1 1)
35.95°, d = 2.498 Å, I 17.6, (0 0 2)
36.67°, d = 2.451 Å, I 16.6, (0 2 0)
36.88°, d = 2.438 Å, I 16.4, (2 0 0)
52.30°, d = 1.749 Å, I 12.1, (0 2 2)
52.45°, d = 1.745 Å, I 12.0, (2 0 2)
52.99°, d = 1.728 Å, I 11.7, (2 2 0)
61.84°, d = 1.500 Å, I 14.7, (1 1 3)
62.81°, d = 1.480 Å, I 14.0, (1 3 1)
63.08°, d = 1.474 Å, I 13.8, (3 1 1)
65.70°, d = 1.421 Å, I 12.2, (2 2 2)
85.64°, d = 1.134 Å, I 6.1, (1 3 3)

Entry 4:
Computed powder diffraction line list of Pr2YErTe5 for Cu Ka, from DFT lattice parameters and positions (GGA-PBE).
Peak positions follow from Bragg's law for the DFT cell and can differ from measured ones.

Structure:
Cell lengths 5.512, 5.512, 11.537 Å; angles 90.00, 90.00, 90.00 degrees
Space group P4/mmm (No. 123)
One atom of each set of equivalent atoms:
Pr (0.000, 0.000, 0.168) (multiplicity 2)
Y (0.500, 0.500, 0.500) (multiplicity 1)
Er (0.500, 0.500, 0.000) (multiplicity 1)
Te (0.000, 0.000, 0.500) (multiplicity 1)
Te (0.000, 0.500, 0.000) (multiplicity 2)
Te (0.500, 0.500, 0.254) (multiplicity 2)

Principal peaks in the range 2θ from 10° to 90°, by angle:
22.82°, d = 3.897 Å, I 80.8, (1 1 0)
28.30°, d = 3.154 Å, I 53.4, (1 0 3)
31.01°, d = 2.884 Å, I 23.2, (0 0 4)
32.49°, d = 2.756 Å, I 100.0, (2 0 0)
32.72°, d = 2.737 Å, I 46.2, (1 1 3)
35.12°, d = 2.555 Å, I 31.6, (1 0 4)
43.62°, d = 2.075 Å, I 33.2, (2 1 3)
45.53°, d = 1.992 Å, I 31.8, (2 0 4)
46.61°, d = 1.949 Å, I 36.4, (2 2 0)
48.59°, d = 1.874 Å, I 25.1, (2 1 4)
52.50°, d = 1.743 Å, I 16.8, (3 1 0)
58.11°, d = 1.587 Å, I 17.5, (3 1 3)

Entry 5:
Computed powder diffraction line list of CeThSi2 for Cu Ka, from DFT lattice parameters and positions (GGA-PBE).
Peak positions follow from Bragg's law for the DFT cell and can differ from measured ones.

Structure:
Cell lengths 3.976, 4.397, 10.852 Å; angles 90.00, 90.00, 90.00 degrees
Space group Amm2 (No. 38)
One atom of each set of equivalent atoms:
Ce (0.000, 0.000, 0.000) (multiplicity 2)
Th (0.500, 0.000, 0.280) (multiplicity 2)
Si (0.000, 0.000, 0.712) (multiplicity 2)
Si (0.500, 0.000, 0.565) (multiplicity 2)

Principal peaks in the range 2θ from 10° to 90°, by angle:
21.81°, d = 4.076 Å, I 45.4, (0 1 1)
27.82°, d = 3.207 Å, I 68.3, (1 0 2)
31.43°, d = 2.846 Å, I 100.0, (1 1 1)
32.04°, d = 2.794 Å, I 54.1, (0 1 3)
33.02°, d = 2.713 Å, I 28.9, (0 0 4)
39.42°, d = 2.286 Å, I 33.6, (1 1 3)
41.05°, d = 2.199 Å, I 22.3, (0 2 0)
45.64°, d = 1.988 Å, I 16.5, (2 0 0)
50.32°, d = 1.813 Å, I 27.9, (1 2 2)
52.34°, d = 1.748 Å, I 23.5, (1 1 5)
53.66°, d = 1.708 Å, I 14.8, (0 2 4)
56.85°, d = 1.620 Å, I 21.7, (2 1 3)

Entry 6:
Computed powder diffraction line list of Ca2AcTl3 for Cu Ka, from DFT lattice parameters and positions (GGA-PBE).
Peak positions follow from Bragg's law for the DFT cell and can differ from measured ones.

Structure:
Cell lengths 5.6399, 5.6399, 13.8680 Å; angles 90.00, 90.00, 120.00 degrees
Space group P-3m1 (No. 164)
One atom of each set of equivalent atoms:
Ca (0.0000, 0.0000, 0.0000) (multiplicity 1)
Ca (0.0000, 0.0000, 0.5000) (multiplicity 1)
Ca (0.3333, 0.6667, 0.1593) (multiplicity 2)
Ac (0.3333, 0.6667, 0.6658) (multiplicity 2)
Tl (0.0000, 0.0000, 0.2432) (multiplicity 2)
Tl (0.3333, 0.6667, 0.4133) (multiplicity 2)
Tl (0.3333, 0.6667, 0.9198) (multiplicity 2)

Principal peaks in the range 2θ from 10° to 90°, by angle:
19.25°, d = 4.610 Å, I 9.6, (1 0 1)
22.26°, d = 3.993 Å, I 13.5, (0 1 2)
31.69°, d = 2.824 Å, I 100.0, (1 1 0)
37.33°, d = 2.409 Å, I 3.8, (0 1 5)
45.43°, d = 1.997 Å, I 18.6, (0 2 4)
56.32°, d = 1.634 Å, I 9.7, (0 1 8)
56.49°, d = 1.629 Å, I 29.5, (3 0 0)
66.10°, d = 1.414 Å, I 6.0, (2 0 8)
66.29°, d = 1.410 Å, I 6.1, (2 2 0)
75.19°, d = 1.264 Å, I 8.3, (1 2 8)
75.32°, d = 1.262 Å, I 8.6, (1 3 4)
84.04°, d = 1.152 Å, I 3.7, (4 0 4)

Entry 7:
Computed powder diffraction line list of ZnTe4Os for Cu Ka, from DFT lattice parameters and positions (GGA-PBE).
Peak positions follow from Bragg's law for the DFT cell and can differ from measured ones.

Structure:
Cell lengths 8.831, 8.831, 8.831 Å; angles 90.00, 90.00, 90.00 degrees
Space group F-43m (No. 216)
One atom of each set of equivalent atoms:
Zn (0.000, 0.000, 0.000) (multiplicity 4)
Te (0.124, 0.124, 0.376) (multiplicity 16)
Os (0.250, 0.250, 0.750) (multiplicity 4)

Principal peaks in the range 2θ from 10° to 90°, by angle:
17.39°, d = 5.098 Å, I 10.3, (1 1 1)
20.11°, d = 4.415 Å, I 5.5, (2 0 0)
28.59°, d = 3.122 Å, I 26.5, (2 2 0)
33.66°, d = 2.663 Å, I 100.0, (3 1 1)
35.21°, d = 2.549 Å, I 39.8, (2 2 2)
50.64°, d = 1.803 Å, I 11.0, (4 2 2)
53.95°, d = 1.699 Å, I 34.5, (3 3 3)
59.19°, d = 1.561 Å, I 28.9, (4 4 0)
69.84°, d = 1.347 Å, I 11.9, (5 3 3)
70.77°, d = 1.331 Å, I 15.3, (6 2 2)
81.58°, d = 1.180 Å, I 5.4, (6 4 2)
84.22°, d = 1.150 Å, I 21.8, (7 3 1)

Entry 8:
Computed powder diffraction line list of LaPm5Ho for Cu Ka, from DFT lattice parameters and positions (GGA-PBE).
Peak positions follow from Bragg's law for the DFT cell and can differ from measured ones.

Structure:
Cell lengths 5.862, 8.830, 12.015 Å; angles 90.00, 90.00, 90.00 degrees
Space group Immm (No. 71)
One atom of each set of equivalent atoms:
La (0.000, 0.000, 0.000) (multiplicity 2)
Pm (0.000, 0.000, 0.250) (multiplicity 4)
Pm (0.000, 0.319, 0.500) (multiplicity 4)
Pm (0.000, 0.500, 0.000) (multiplicity 2)
Ho (0.000, 0.000, 0.500) (multiplicity 2)

Principal peaks in the range 2θ from 10° to 90°, by angle:
14.75°, d = 6.008 Å, I 99.3, (0 0 2)
18.17°, d = 4.884 Å, I 64.5, (1 1 0)
20.11°, d = 4.415 Å, I 74.7, (0 2 0)
23.48°, d = 3.789 Å, I 48.1, (1 1 2)
26.34°, d = 3.384 Å, I 49.5, (1 2 1)
29.74°, d = 3.004 Å, I 100.0, (0 0 4)
30.50°, d = 2.931 Å, I 93.7, (2 0 0)
31.29°, d = 2.859 Å, I 34.0, (0 3 1)
34.07°, d = 2.631 Å, I 95.7, (1 3 0)
36.17°, d = 2.483 Å, I 33.8, (0 2 4)
43.12°, d = 2.098 Å, I 72.8, (2 0 4)
45.86°, d = 1.979 Å, I 60.8, (1 3 4)